Record 1
# Na8NbO6
Simulated powder XRD pattern, a wavelength of 1.5418 Å. Input: a crystal structure in Alexandria, relaxed with GGA-PBE.
No peak broadening, texture or thermal motion is included.

The 8 most intense peaks (2θ = 10–90°), in order of rising 2θ:
two_theta	I_rel	h k l
15.21	417	0 1 1
15.65	1000	1 0 1
17.70	645	1 1 0
25.43	421	1 1 2
30.00	877	0 1 3
30.69	471	0 2 2
31.61	996	2 0 2
52.22	477	2 2 4

Cell and atoms:
```
data_Na8NbO6
_symmetry_space_group_name_H-M 'P m n 21'
_symmetry_Int_Tables_number 31
_cell_length_a 6.9353
_cell_length_b 7.2481
_cell_length_c 9.7978
_cell_angle_alpha 90.00
_cell_angle_beta 90.00
_cell_angle_gamma 90.00
loop_
_symmetry_equiv_pos_as_xyz
'x,y,z'
'-x+1/2,-y,z+1/2'
'-x,y,z'
'x+1/2,-y,z+1/2'
loop_
_atom_site_label
_atom_site_type_symbol
_atom_site_fract_x
_atom_site_fract_y
_atom_site_fract_z
Na1 Na 0.0000 0.1675 0.0000
Na2 Na 0.0000 0.1864 0.4494
Na3 Na 0.1919 0.6770 0.0911
Na4 Na 0.2099 0.5911 0.7813
Na5 Na 0.2194 0.9609 0.7555
Nb1 Nb 0.0000 0.7114 0.4517
O1 O 0.0000 0.2385 0.2286
O2 O 0.0000 0.4903 0.5602
O3 O 0.0000 0.7883 0.9129
O4 O 0.0000 0.9176 0.5687
O5 O 0.2194 0.7249 0.3376
```

Record 2
# NaLiCaBi
Simulated powder XRD pattern, a wavelength of 1.5418 Å. Input: a crystal structure in Alexandria, relaxed with GGA-PBE.
No peak broadening, texture or thermal motion is included.

The 8 most intense peaks (2θ = 10–90°), in order of rising 2θ:
two_theta	I_rel	h k l
20.15	991	1 1 1
23.30	511	2 0 0
33.19	1000	2 2 0
39.14	575	3 1 1
52.23	257	3 3 1
53.70	234	4 2 0
59.30	377	4 2 2
73.37	197	5 3 1

Cell and atoms:
```
data_NaLiCaBi
_symmetry_space_group_name_H-M 'F -4 3 m'
_symmetry_Int_Tables_number 216
_symmetry_space_group_name_Hall 'F -4 2 3'
_cell_length_a 7.6340
_cell_length_b 7.6340
_cell_length_c 7.6340
_cell_angle_alpha 90.00
_cell_angle_beta 90.00
_cell_angle_gamma 90.00
loop_
_atom_site_label
_atom_site_type_symbol
_atom_site_fract_x
_atom_site_fract_y
_atom_site_fract_z
Na1 Na 0.0000 0.0000 0.0000
Li1 Li 0.2500 0.2500 0.7500
Ca1 Ca 0.2500 0.2500 0.2500
Bi1 Bi 0.0000 0.0000 0.5000
```

Record 3
# Zr4BiS8
Simulated powder XRD pattern, a wavelength of 1.5418 Å. Input: a crystal structure in Alexandria, relaxed with GGA-PBE.
No peak broadening, texture or thermal motion is included.

The 8 most intense peaks (2θ = 10–90°), in order of rising 2θ:
two_theta	I_rel	h k l
14.06	251	1 1 1
16.24	362	2 0 0
23.05	287	2 2 0
27.10	1000	3 1 1
32.82	216	4 0 0
43.07	537	5 1 1
47.10	572	4 4 0
65.72	220	5 5 3

Cell and atoms:
```
data_Zr4BiS8
_symmetry_space_group_name_H-M 'F -4 3 m'
_symmetry_Int_Tables_number 216
_symmetry_space_group_name_Hall 'F -4 2 3'
_cell_length_a 10.9138
_cell_length_b 10.9138
_cell_length_c 10.9138
_cell_angle_alpha 90.00
_cell_angle_beta 90.00
_cell_angle_gamma 90.00
loop_
_atom_site_label
_atom_site_type_symbol
_atom_site_fract_x
_atom_site_fract_y
_atom_site_fract_z
Zr1 Zr 0.1165 0.1165 0.1165
Bi1 Bi 0.0000 0.0000 0.5000
S1 S 0.1179 0.1179 0.8821
S2 S 0.1409 0.1409 0.3591
```